# 1
Starting from a crystal structure in Alexandria, relaxed with PBE, the powder X-ray diffraction pattern of Sm7In3 was computed for copper Kα.

Top 12 peaks for 5 to 70 degrees two-theta, low angle first:
hkl, Position (°2θ), Rel. int.
1 1 -2, 31.10, 29
5 1 0, 31.85, 100
2 0 2, 32.34, 16
0 2 0, 33.87, 33
1 1 2, 34.00, 13
6 0 -2, 35.33, 11
2 2 2, 47.53, 11
6 2 -2, 49.75, 8
5 3 0, 59.34, 17
1 1 4, 61.09, 10
4 2 -4, 64.67, 9
9 1 -4, 65.74, 8

Atomic structure:
Lattice parameters (Å, degrees): 17.468 5.292 6.902 90.00 108.16 90.00
Space group C2/m (No. 12)
One atom of each set of equivalent atoms:
Sm 0.000 0.000 0.000 (multiplicity 2)
Sm 0.093 0.500 0.367 (multiplicity 4)
Sm 0.128 0.500 0.903 (multiplicity 4)
Sm 0.197 0.000 0.682 (multiplicity 4)
In 0.000 0.000 0.500 (multiplicity 2)
In 0.195 0.000 0.199 (multiplicity 4)

---

# 2
Starting from a crystal structure in Alexandria, relaxed with PBE, the powder X-ray diffraction pattern of Y2Al2Os was computed for copper Kα.

Top 12 peaks for 5 to 70 degrees two-theta, low angle first:
hkl, Position (°2θ), Rel. int.
0 1 1, 19.38, 36
1 0 1, 22.42, 47
1 1 2, 32.92, 100
0 1 3, 33.84, 53
0 2 0, 34.01, 22
2 0 0, 41.10, 71
1 0 5, 54.07, 11
2 1 3, 54.24, 28
2 2 0, 54.35, 11
1 3 2, 60.17, 18
1 2 5, 65.44, 23
3 1 2, 69.69, 11

Atomic structure:
Lattice parameters (Å, degrees): 4.395 5.272 9.192 90.00 90.00 90.00
Space group Immm (No. 71)
One atom of each set of equivalent atoms:
Y 0.000 0.000 0.194 (multiplicity 4)
Al 0.000 0.247 0.500 (multiplicity 4)
Os 0.000 0.500 0.000 (multiplicity 2)

---

# 3
Starting from a crystal structure in Alexandria, relaxed with PBE, the powder X-ray diffraction pattern of CrReCl was computed for copper Kα.

Top 12 peaks for 5 to 70 degrees two-theta, low angle first:
hkl, Position (°2θ), Rel. int.
0 0 1, 10.14, 100
0 0 2, 20.37, 10
0 0 3, 30.76, 6
-1 1 1, 37.35, 5
1 1 -2, 38.90, 5
1 -1 2, 40.29, 6
1 1 1, 40.59, 6
0 0 4, 41.46, 11
-1 1 2, 42.01, 5
0 2 0, 42.47, 5
1 1 -3, 43.78, 6
1 1 2, 46.36, 8

Atomic structure:
Lattice parameters (Å, degrees): 3.060 4.356 8.952 101.89 94.95 91.80
Space group P1 (No. 1)
One atom of each set of equivalent atoms:
Cr 0.000 0.000 0.000 (multiplicity 1)
Cr 0.455 0.461 0.990 (multiplicity 1)
Re 0.405 0.883 0.771 (multiplicity 1)
Re 0.916 0.372 0.770 (multiplicity 1)
Cl 0.107 0.522 0.528 (multiplicity 1)
Cl 0.527 0.878 0.196 (multiplicity 1)

---

# 4
Starting from a crystal structure in Alexandria, relaxed with PBE, the powder X-ray diffraction pattern of Sb4C was computed for copper Kα.

Top 5 peaks for 5 to 70 degrees two-theta, low angle first:
hkl, Position (°2θ), Rel. int.
2 0 0, 28.58, 100
2 2 0, 40.86, 83
2 2 2, 50.63, 27
4 0 0, 59.17, 14
4 2 0, 67.00, 35

Atomic structure:
Lattice parameters (Å, degrees): 6.246 6.246 6.246 90.00 90.00 90.00
Space group Im-3m (No. 229)
One atom of each set of equivalent atoms:
Sb 0.250 0.250 0.250 (multiplicity 8)
C 0.000 0.000 0.000 (multiplicity 2)

---

# 5
Starting from a crystal structure in Alexandria, relaxed with PBE, the powder X-ray diffraction pattern of RbHSO4 was computed for copper Kα.

Top 12 peaks for 5 to 70 degrees two-theta, low angle first:
hkl, Position (°2θ), Rel. int.
1 1 1, 22.52, 9
2 0 -4, 23.61, 45
2 1 0, 23.66, 100
0 0 4, 27.36, 13
4 0 -4, 27.72, 12
4 0 0, 28.19, 35
0 1 4, 33.52, 28
4 1 -4, 33.82, 29
5 1 -2, 36.43, 8
0 2 1, 39.17, 11
2 1 4, 41.74, 7
2 2 -4, 45.67, 8

Atomic structure:
Lattice parameters (Å, degrees): 14.643 4.675 15.078 90.00 120.15 90.00
Space group P2_1/c (No. 14)
One atom of each set of equivalent atoms:
Rb 0.122 0.213 0.163 (multiplicity 4)
Rb 0.377 0.641 0.082 (multiplicity 4)
H 0.124 0.700 0.363 (multiplicity 4)
H 0.368 0.206 0.884 (multiplicity 4)
S 0.129 0.236 0.923 (multiplicity 4)
S 0.375 0.713 0.325 (multiplicity 4)
O 0.034 0.198 0.429 (multiplicity 4)
O 0.094 0.501 0.336 (multiplicity 4)
O 0.163 0.021 0.383 (multiplicity 4)
O 0.215 0.119 0.018 (multiplicity 4)
O 0.277 0.726 0.226 (multiplicity 4)
O 0.355 0.501 0.397 (multiplicity 4)
O 0.401 0.518 0.884 (multiplicity 4)
O 0.464 0.603 0.317 (multiplicity 4)

---

# 6
Starting from a crystal structure in Alexandria, relaxed with PBE, the powder X-ray diffraction pattern of DyPN2 was computed for copper Kα.

Top 12 peaks for 5 to 70 degrees two-theta, low angle first:
hkl, Position (°2θ), Rel. int.
0 0 1, 14.50, 50
0 1 1, 21.30, 50
1 0 1, 28.74, 14
1 1 0, 29.28, 100
0 2 0, 31.32, 27
1 1 -1, 32.82, 23
0 1 2, 33.26, 58
1 0 -2, 38.57, 16
1 0 2, 38.68, 16
1 2 1, 43.02, 27
1 2 -2, 50.54, 41
1 3 0, 54.49, 14

Atomic structure:
Lattice parameters (Å, degrees): 3.608 5.713 6.108 90.00 90.17 90.00
Space group P2_1/m (No. 11)
One atom of each set of equivalent atoms:
Dy 0.250 0.250 0.146 (multiplicity 2)
P 0.250 0.250 0.653 (multiplicity 2)
N 0.249 0.018 0.801 (multiplicity 4)

---

# 7
Starting from a crystal structure in Alexandria, relaxed with PBE, the powder X-ray diffraction pattern of LiSiB6 was computed for copper Kα.

Top 12 peaks for 5 to 70 degrees two-theta, low angle first:
hkl, Position (°2θ), Rel. int.
0 2 0, 16.10, 21
0 2 1, 19.26, 44
1 1 2, 26.94, 100
2 0 0, 29.22, 30
1 3 1, 30.32, 47
0 4 0, 32.53, 22
2 2 0, 33.54, 56
2 2 1, 35.23, 29
0 2 3, 35.88, 21
1 3 3, 43.16, 49
2 0 4, 52.75, 26
2 6 0, 58.69, 22

Atomic structure:
Lattice parameters (Å, degrees): 6.113 11.009 8.432 90.00 90.00 90.00
Space group Cmce (No. 64)
One atom of each set of equivalent atoms:
Li 0.000 0.175 0.160 (multiplicity 8)
Si 0.000 0.166 0.880 (multiplicity 8)
B 0.000 0.101 0.650 (multiplicity 8)
B 0.000 0.152 0.444 (multiplicity 8)
B 0.159 0.039 0.334 (multiplicity 16)
B 0.234 0.079 0.531 (multiplicity 16)

---

# 8
Starting from a crystal structure in Alexandria, relaxed with PBE, the powder X-ray diffraction pattern of NaSn4Au4 was computed for copper Kα.

Top 12 peaks for 5 to 70 degrees two-theta, low angle first:
hkl, Position (°2θ), Rel. int.
1 1 -1, 16.05, 82
0 2 0, 20.57, 100
2 1 -2, 26.88, 57
2 1 -1, 29.20, 59
1 1 -3, 30.13, 53
1 3 -1, 33.53, 58
2 0 -4, 36.16, 67
1 0 2, 39.04, 75
2 3 -2, 40.14, 78
2 3 -1, 41.80, 63
1 3 -3, 42.49, 55
1 2 2, 44.57, 38

Atomic structure:
Lattice parameters (Å, degrees): 7.182 8.637 9.937 90.00 133.60 90.00
Space group P2/c (No. 13)
One atom of each set of equivalent atoms:
Na 0.000 0.243 0.250 (multiplicity 2)
Sn 0.184 0.122 0.691 (multiplicity 4)
Sn 0.345 0.381 0.030 (multiplicity 4)
Au 0.188 0.451 0.689 (multiplicity 4)
Au 0.351 0.054 0.043 (multiplicity 4)

---

# 9
Starting from a crystal structure in Alexandria, relaxed with PBE, the powder X-ray diffraction pattern of Dy3Ho6Tm2 was computed for copper Kα.

Top 8 peaks for 5 to 70 degrees two-theta, low angle first:
hkl, Position (°2θ), Rel. int.
0 1 11, 31.18, 100
1 0 22, 36.16, 51
1 1 0, 52.01, 18
0 1 44, 52.14, 18
2 0 11, 61.92, 32
1 0 55, 62.06, 11
0 2 22, 64.98, 9
0 0 66, 65.21, 3

Atomic structure:
Lattice parameters (Å, degrees): 3.5168 3.5168 94.4278 90.00 90.00 120.00
Space group R-3m (No. 166, hexagonal axes)
One atom of each set of equivalent atoms:
Dy 0.0000 0.0000 0.0000 (multiplicity 3)
Dy 0.0000 0.0000 0.2725 (multiplicity 6)
Ho 0.0000 0.0000 0.0913 (multiplicity 6)
Ho 0.0000 0.0000 0.1819 (multiplicity 6)
Ho 0.0000 0.0000 0.3638 (multiplicity 6)
Tm 0.0000 0.0000 0.4547 (multiplicity 6)

---

# 10
Starting from a crystal structure in Alexandria, relaxed with PBE, the powder X-ray diffraction pattern of Tb2Sm5Hg4 was computed for copper Kα.

Top 12 peaks for 5 to 70 degrees two-theta, low angle first:
hkl, Position (°2θ), Rel. int.
1 1 -1, 26.11, 27
1 1 1, 26.83, 33
4 0 2, 29.86, 23
0 0 3, 32.18, 16
3 1 -2, 32.88, 100
8 0 -1, 33.10, 63
5 1 1, 35.09, 55
7 1 0, 38.16, 18
9 1 0, 45.38, 17
0 2 0, 48.75, 24
3 1 -5, 59.58, 20
8 2 -1, 60.20, 22

Atomic structure:
Lattice parameters (Å, degrees): 21.774 3.736 8.534 90.00 102.12 90.00
Space group C2/m (No. 12)
One atom of each set of equivalent atoms:
Tb 0.071 0.000 0.145 (multiplicity 4)
Sm 0.000 0.000 0.500 (multiplicity 2)
Sm 0.153 0.500 0.486 (multiplicity 4)
Sm 0.177 0.500 0.944 (multiplicity 4)
Hg 0.038 0.500 0.797 (multiplicity 4)
Hg 0.216 0.000 0.257 (multiplicity 4)

---

# 11
Starting from a crystal structure in Alexandria, relaxed with PBE, the powder X-ray diffraction pattern of LiPmEuY was computed for copper Kα.

Top 12 peaks for 5 to 70 degrees two-theta, low angle first:
hkl, Position (°2θ), Rel. int.
1 1 1, 19.13, 34
2 0 0, 22.12, 6
2 2 0, 31.48, 100
3 1 1, 37.10, 20
2 2 2, 38.81, 2
4 0 0, 45.12, 18
3 3 1, 49.43, 9
4 2 0, 50.80, 3
4 2 2, 56.06, 38
5 1 1, 59.79, 7
4 4 0, 65.72, 12
5 3 1, 69.15, 6

Atomic structure:
Lattice parameters (Å, degrees): 8.037 8.037 8.037 90.00 90.00 90.00
Space group F-43m (No. 216)
One atom of each set of equivalent atoms:
Li 0.000 0.000 0.000 (multiplicity 4)
Pm 0.000 0.000 0.500 (multiplicity 4)
Eu 0.250 0.250 0.750 (multiplicity 4)
Y 0.250 0.250 0.250 (multiplicity 4)

---

# 12
Starting from a crystal structure in Alexandria, relaxed with PBE, the powder X-ray diffraction pattern of Mg3InPb was computed for copper Kα.

Top 12 peaks for 5 to 70 degrees two-theta, low angle first:
hkl, Position (°2θ), Rel. int.
0 0 1, 10.38, 18
1 0 1, 21.08, 20
0 1 2, 25.43, 51
1 1 1, 25.62, 100
0 2 0, 29.02, 26
1 1 2, 31.51, 26
1 2 1, 36.14, 36
1 0 3, 36.67, 42
2 0 0, 37.07, 25
2 1 2, 45.50, 22
1 2 3, 47.42, 21
1 3 1, 49.41, 20

Atomic structure:
Lattice parameters (Å, degrees): 4.850 6.154 8.520 90.00 90.00 90.00
Space group Pmmn (No. 59, origin choice 2)
One atom of each set of equivalent atoms:
Mg 0.250 0.004 0.246 (multiplicity 4)
Mg 0.250 0.750 0.577 (multiplicity 2)
In 0.250 0.250 0.623 (multiplicity 2)
Pb 0.250 0.750 0.933 (multiplicity 2)